Cs2PmVF6: computed powder X-ray diffraction pattern (Cu Ka), based on a structure optimized by DFT (GGA+U).
Peak positions follow from Bragg's law for the DFT cell and can differ from measured ones.

Crystal structure
Cell: 6.2292 6.8162 8.9848 Å, 90.00 90.00 90.00°
Space group Immm (No. 71)
Symmetry-distinct sites (fractional):
Cs  0.0000  0.0000  0.2479 [4 per cell]
Pm  0.0000  0.5000  0.5000 [2 per cell]
V  0.0000  0.5000  0.0000 [2 per cell]
F  0.0000  0.5000  0.2422 [4 per cell]
F  0.2439  0.2153  0.5000 [8 per cell]

Largest 6 diffraction maxima, in order of rising 2θ, 15° ≤ 2θ ≤ 90°:
2θ 26.1, rel. 30, hkl 0 2 0
2θ 27.8, rel. 100, hkl 1 1 2
2θ 28.7, rel. 23, hkl 2 0 0
2θ 39.2, rel. 36, hkl 2 2 0
2θ 47.1, rel. 24, hkl 1 3 2
2θ 57.3, rel. 22, hkl 2 2 4